# Ba4LiS4
Theoretical powder XRD pattern, Cu Kα. Input: a cell relaxed with GGA-PBE.

Top 8 peaks for 2θ from 10° to 90°, in order of falling intensity:
d/Å	2θ (°)	I_rel
3.212	27.77	100
3.724	23.89	94
2.285	39.43	58
3.252	27.42	40
2.271	39.68	37
1.939	46.85	30
1.862	48.91	28
1.314	71.84	16

Crystal structure
abc: 9.085 9.085 6.505
angles: 90.00 90.00 90.00
Element x y z (fractional)
Ba1 0.017 0.250 0.044
Ba2 0.250 0.017 0.544
Ba3 0.250 0.483 0.544
Ba4 0.483 0.250 0.044
Ba5 0.517 0.750 0.956
Ba6 0.750 0.517 0.456
Ba7 0.750 0.983 0.456
Ba8 0.983 0.750 0.956
Li1 0.250 0.750 0.250
Li2 0.750 0.250 0.750
S1 0.018 0.750 0.463
S2 0.250 0.518 0.037
S3 0.250 0.982 0.037
S4 0.482 0.750 0.463
S5 0.518 0.250 0.537
S6 0.750 0.018 0.963
S7 0.750 0.482 0.963
S8 0.982 0.250 0.537

***

# Ac3Mg3Al8
Theoretical powder XRD pattern, Cu Kα. Input: a cell relaxed with GGA-PBE.

Top 8 peaks for 2θ from 10° to 90°, in order of falling intensity:
d/Å	2θ (°)	I_rel
2.779	32.22	100
4.207	21.12	79
2.727	32.84	70
4.323	20.55	64
5.063	17.52	52
3.324	26.82	49
2.757	32.47	42
1.505	61.62	30

Crystal structure
abc: 9.077 9.077 9.077
angles: 150.48 112.20 75.64
Element x y z (fractional)
Ac1 0.000 0.000 0.000
Ac2 0.302 0.302 0.000
Ac3 0.698 0.698 0.000
Mg1 0.291 0.500 0.791
Mg2 0.500 0.000 0.500
Mg3 0.709 0.500 0.209
Al1 0.029 0.664 0.365
Al2 0.126 0.854 0.272
Al3 0.300 0.664 0.635
Al4 0.418 0.146 0.272
Al5 0.582 0.854 0.728
Al6 0.700 0.336 0.365
Al7 0.874 0.146 0.728
Al8 0.971 0.336 0.635

***

# Er4MgRh5
Theoretical powder XRD pattern, Cu Kα. Input: a cell relaxed with GGA-PBE.

Top 8 peaks for 2θ from 10° to 90°, in order of falling intensity:
d/Å	2θ (°)	I_rel
2.356	38.19	100
2.377	37.84	54
1.369	68.57	35
1.681	54.59	19
1.357	69.26	15
1.178	81.73	9
2.607	34.40	9
1.652	55.64	7

Crystal structure
abc: 3.362 3.362 16.519
angles: 90.00 90.00 90.00
Element x y z (fractional)
Er1 0.000 0.000 0.104
Er2 0.000 0.000 0.311
Er3 0.000 0.000 0.689
Er4 0.000 0.000 0.896
Mg1 0.000 0.000 0.500
Rh1 0.500 0.500 0.000
Rh2 0.500 0.500 0.205
Rh3 0.500 0.500 0.409
Rh4 0.500 0.500 0.591
Rh5 0.500 0.500 0.795

***

# Sm12YTh5
Theoretical powder XRD pattern, Cu Kα. Input: a cell relaxed with GGA-PBE.

Top 8 peaks for 2θ from 10° to 90°, in order of falling intensity:
d/Å	2θ (°)	I_rel
2.949	30.31	100
2.554	35.14	51
1.806	50.54	36
1.541	60.04	28
1.539	60.14	15
1.475	63.04	12
1.172	82.25	11
1.143	84.84	11

Crystal structure
abc: 10.834 10.834 5.110
angles: 90.00 90.00 90.15
Element x y z (fractional)
Sm1 0.007 0.326 0.500
Sm2 0.159 0.841 0.000
Sm3 0.172 0.494 0.000
Sm4 0.326 0.007 0.500
Sm5 0.335 0.665 0.500
Sm6 0.494 0.172 0.000
Sm7 0.506 0.828 0.000
Sm8 0.665 0.335 0.500
Sm9 0.674 0.993 0.500
Sm10 0.828 0.506 0.000
Sm11 0.841 0.159 0.000
Sm12 0.993 0.674 0.500
Y1 0.500 0.500 0.000
Th1 0.000 0.000 0.500
Th2 0.168 0.168 0.000
Th3 0.334 0.334 0.500
Th4 0.666 0.666 0.500
Th5 0.832 0.832 0.000

***

# La3TcCl2
Theoretical powder XRD pattern, Cu Kα. Input: a cell relaxed with GGA-PBE.

Top 8 peaks for 2θ from 10° to 90°, in order of falling intensity:
d/Å	2θ (°)	I_rel
3.076	29.02	100
3.045	29.33	48
7.560	11.71	34
2.103	43.01	33
2.231	40.43	32
3.464	25.71	21
2.251	40.05	19
2.106	42.94	17

Crystal structure
abc: 7.293 7.293 7.910
angles: 98.44 98.44 120.10
Element x y z (fractional)
La1 0.067 0.427 0.788
La2 0.211 0.211 0.213
La3 0.427 0.067 0.788
La4 0.573 0.933 0.212
La5 0.789 0.789 0.787
La6 0.933 0.573 0.212
Tc1 0.165 0.835 0.000
Tc2 0.835 0.165 0.000
Cl1 0.000 0.000 0.500
Cl2 0.333 0.667 0.500
Cl3 0.500 0.500 0.000
Cl4 0.667 0.333 0.500

***

# Ca2IrOsO6
Theoretical powder XRD pattern, Cu Kα. Input: a cell relaxed with GGA-PBE.

Top 8 peaks for 2θ from 10° to 90°, in order of falling intensity:
d/Å	2θ (°)	I_rel
2.824	31.69	100
3.960	22.45	71
2.800	31.96	51
4.028	22.07	40
1.621	56.78	39
1.980	45.82	31
1.795	50.87	21
1.635	56.27	20

Crystal structure
abc: 5.601 5.601 4.028
angles: 90.00 90.00 90.00
Element x y z (fractional)
Ca1 0.000 0.500 0.000
Ca2 0.500 0.000 0.000
Ir1 0.000 0.000 0.581
Os1 0.500 0.500 0.577
O1 0.000 0.000 0.088
O2 0.253 0.253 0.637
O3 0.253 0.747 0.637
O4 0.500 0.500 0.092
O5 0.747 0.253 0.637
O6 0.747 0.747 0.637

***

# Pu2InHg2
Theoretical powder XRD pattern, Cu Kα. Input: a cell relaxed with GGA-PBE.

Top 8 peaks for 2θ from 10° to 90°, in order of falling intensity:
d/Å	2θ (°)	I_rel
2.659	33.70	100
2.618	34.25	75
2.532	35.45	46
2.437	36.88	37
2.366	38.03	29
1.756	52.08	28
1.345	69.93	26
1.485	62.53	18

Crystal structure
abc: 8.212 8.212 3.119
angles: 90.00 90.00 144.08
Element x y z (fractional)
Pu1 0.109 0.891 0.000
Pu2 0.891 0.109 0.000
In1 0.500 0.500 0.500
Hg1 0.301 0.699 0.500
Hg2 0.699 0.301 0.500

***

# Ce3ThNi8
Theoretical powder XRD pattern, Cu Kα. Input: a cell relaxed with GGA-PBE.

Top 8 peaks for 2θ from 10° to 90°, in order of falling intensity:
d/Å	2θ (°)	I_rel
2.174	41.54	100
2.382	37.77	87
2.528	35.51	60
2.120	42.64	51
1.430	65.26	37
1.344	69.99	28
3.053	29.26	23
1.381	67.88	23

Crystal structure
abc: 5.056 5.056 8.516
angles: 90.00 90.00 120.00
Element x y z (fractional)
Ce1 0.000 0.000 0.000
Ce2 0.000 0.000 0.382
Ce3 0.333 0.667 0.908
Th1 0.333 0.667 0.520
Ni1 0.340 0.170 0.704
Ni2 0.504 0.008 0.204
Ni3 0.504 0.496 0.204
Ni4 0.667 0.333 0.453
Ni5 0.667 0.333 0.955
Ni6 0.830 0.170 0.704
Ni7 0.830 0.660 0.704
Ni8 0.992 0.496 0.204

***

# Rb2Tl5Pb2
Theoretical powder XRD pattern, Cu Kα. Input: a cell relaxed with GGA-PBE.

Top 8 peaks for 2θ from 10° to 90°, in order of falling intensity:
d/Å	2θ (°)	I_rel
8.446	10.47	100
3.199	27.89	64
2.933	30.48	41
2.870	31.16	32
2.568	34.94	31
2.728	32.83	27
2.972	30.07	26
2.273	39.65	20

Crystal structure
abc: 9.494 9.494 9.555
angles: 91.07 91.07 54.28
Element x y z (fractional)
Rb1 0.208 0.730 0.956
Rb2 0.270 0.792 0.544
Rb3 0.730 0.208 0.456
Rb4 0.792 0.270 0.044
Tl1 0.000 0.500 0.000
Tl2 0.021 0.703 0.306
Tl3 0.297 0.979 0.194
Tl4 0.317 0.375 0.673
Tl5 0.375 0.317 0.173
Tl6 0.500 0.000 0.500
Tl7 0.625 0.683 0.827
Tl8 0.683 0.625 0.327
Tl9 0.703 0.021 0.806
Tl10 0.979 0.297 0.694
Pb1 0.098 0.326 0.387
Pb2 0.326 0.098 0.887
Pb3 0.674 0.902 0.113
Pb4 0.902 0.674 0.613

***

# NaCo2BHIr
Theoretical powder XRD pattern, Cu Kα. Input: a cell relaxed with GGA-PBE.

Top 8 peaks for 2θ from 10° to 90°, in order of falling intensity:
d/Å	2θ (°)	I_rel
4.549	19.51	100
2.275	39.62	62
2.089	43.31	46
1.838	49.60	31
2.193	41.16	27
2.376	37.86	26
2.542	35.31	26
1.966	46.17	25

Crystal structure
abc: 5.299 5.299 5.299
angles: 150.97 119.73 68.27
Element x y z (fractional)
Na1 0.000 0.000 0.000
Co1 0.513 0.253 0.260
Co2 0.993 0.253 0.740
B1 0.331 0.831 0.500
H1 0.749 0.749 0.000
Ir1 0.527 0.527 0.000

***

# Pm12Ho5Tm
Theoretical powder XRD pattern, Cu Kα. Input: a cell relaxed with GGA-PBE.

Top 8 peaks for 2θ from 10° to 90°, in order of falling intensity:
d/Å	2θ (°)	I_rel
2.795	32.03	100
2.988	29.90	60
2.113	42.80	23
1.687	54.38	22
1.684	54.50	22
1.581	58.38	18
1.397	66.97	12
1.318	71.62	10

Crystal structure
abc: 10.576 10.576 5.967
angles: 90.00 90.00 116.21
Element x y z (fractional)
Pm1 0.003 0.672 0.996
Pm2 0.159 0.159 0.496
Pm3 0.173 0.503 0.504
Pm4 0.328 0.997 0.004
Pm5 0.340 0.340 0.996
Pm6 0.497 0.827 0.496
Pm7 0.503 0.173 0.504
Pm8 0.660 0.660 0.004
Pm9 0.672 0.003 0.996
Pm10 0.827 0.497 0.496
Pm11 0.841 0.841 0.504
Pm12 0.997 0.328 0.004
Ho1 0.000 0.000 0.000
Ho2 0.169 0.831 0.500
Ho3 0.332 0.668 0.000
Ho4 0.668 0.332 0.000
Ho5 0.831 0.169 0.500
Tm1 0.500 0.500 0.500

***

# Pd4Pb5
Theoretical powder XRD pattern, Cu Kα. Input: a cell relaxed with GGA-PBE.

Top 8 peaks for 2θ from 10° to 90°, in order of falling intensity:
d/Å	2θ (°)	I_rel
2.642	33.94	100
2.342	38.44	90
2.515	35.70	74
3.077	29.02	39
1.863	48.90	29
1.424	65.56	26
1.727	53.01	24
2.585	34.70	22

Crystal structure
abc: 7.975 7.975 7.975
angles: 154.98 106.41 79.13
Element x y z (fractional)
Pd1 0.043 0.839 0.203
Pd2 0.364 0.161 0.203
Pd3 0.636 0.839 0.797
Pd4 0.957 0.161 0.797
Pb1 0.000 0.500 0.500
Pb2 0.272 0.772 0.500
Pb3 0.334 0.500 0.834
Pb4 0.666 0.500 0.166
Pb5 0.728 0.228 0.500

***

# TiF2
Theoretical powder XRD pattern, Cu Kα. Input: a cell relaxed with GGA-PBE.

Top 8 peaks for 2θ from 10° to 90°, in order of falling intensity:
d/Å	2θ (°)	I_rel
1.834	49.71	100
2.995	29.83	98
1.564	59.07	35
1.190	80.75	13
1.297	72.95	13
1.160	83.31	1
2.594	34.58	1
1.497	61.97	1

Crystal structure
abc: 3.668 3.668 3.668
angles: 60.00 60.00 60.00
Element x y z (fractional)
Ti1 0.000 0.000 0.000
F1 0.250 0.250 0.250
F2 0.750 0.750 0.750